# 1
Starting from a cell relaxed with GGA-PBE, the powder diffractogram of Rb2MgZnF6 was calculated for Cu Kα, 1.54184 Å.
No peak broadening, texture or thermal motion is included.

Most intense lines, 10° ≤ 2θ ≤ 90°, in order of falling intensity:
2θ (°)	intensity
30.4	1000
43.6	506
54.1	396
63.3	298
37.5	264
88.0	210

Crystal structure
a b c (Å): 8.308 8.308 8.308
angles (deg): 90.00 90.00 90.00
Space group Fm-3m (No. 225)
Inequivalent atoms, fractional coordinates:
Rb (0.250, 0.250, 0.250) x8
Mg (0.000, 0.000, 0.000) x4
Zn (0.000, 0.000, 0.500) x4
F (0.000, 0.000, 0.247) x24

---

# 2
Starting from a cell relaxed with GGA-PBE, the powder diffractogram of MgRhF was calculated for Cu Kα, 1.54184 Å.
No peak broadening, texture or thermal motion is included.

Most intense lines, 10° ≤ 2θ ≤ 90°, in order of falling intensity:
2θ (°)	intensity
13.1	1000
39.7	546
46.3	508
26.3	402
37.4	232
42.7	216

Crystal structure
a b c (Å): 2.860 6.781 4.454
angles (deg): 90.00 90.00 90.00
Space group Pmn2_1 (No. 31)
Inequivalent atoms, fractional coordinates:
Mg (0.000, 0.183, 0.000) x2
Rh (0.000, 0.480, 0.491) x2
F (0.000, 0.987, 0.662) x2

---

# 3
Starting from a cell relaxed with GGA-PBE, the powder diffractogram of MgRhF6 was calculated for Cu Kα, 1.54184 Å.
No peak broadening, texture or thermal motion is included.

Most intense lines, 10° ≤ 2θ ≤ 90°, in order of falling intensity:
2θ (°)	intensity
23.8	1000
20.9	418
40.1	320
53.6	299
33.0	245
48.7	179

Crystal structure
a b c (Å): 5.1622 5.1622 13.6809
angles (deg): 90.00 90.00 120.00
Space group R-3 (No. 148, hexagonal axes)
Inequivalent atoms, fractional coordinates:
Mg (0.0000, 0.0000, 0.0000) x3
Rh (0.0000, 0.0000, 0.5000) x3
F (0.0073, 0.6257, 0.2491) x18

---

# 4
Starting from a cell relaxed with GGA-PBE, the powder diffractogram of MgRuF6 was calculated for Cu Kα, 1.54184 Å.
No peak broadening, texture or thermal motion is included.

Most intense lines, 10° ≤ 2θ ≤ 90°, in order of falling intensity:
2θ (°)	intensity
27.9	1000
20.3	800
40.6	389
53.4	376
45.8	247
59.3	232

Crystal structure
a b c (Å): 5.0440 5.0440 9.3709
angles (deg): 90.00 90.00 120.00
Space group P-31c (No. 163)
Inequivalent atoms, fractional coordinates:
Mg (0.3333, 0.6667, 0.2500) x2
Ru (0.0000, 0.0000, 0.0000) x2
F (0.0302, 0.3281, 0.1219) x12

---

# 5
Starting from a cell relaxed with GGA-PBE, the powder diffractogram of MgSF was calculated for Cu Kα, 1.54184 Å.
No peak broadening, texture or thermal motion is included.

Most intense lines, 10° ≤ 2θ ≤ 90°, in order of falling intensity:
2θ (°)	intensity
34.5	1000
40.8	374
19.7	368
34.0	335
48.5	248
60.9	244

Crystal structure
a b c (Å): 10.411 11.734 4.881
angles (deg): 90.00 90.00 90.00
Space group Ima2 (No. 46)
Inequivalent atoms, fractional coordinates:
Mg (0.003, 0.157, 0.000) x8
Mg (0.250, 0.014, 0.681) x4
S (0.250, 0.014, 0.193) x4
S (0.250, 0.225, 0.738) x4
S (0.250, 0.648, 0.488) x4
F (0.000, 0.000, 0.837) x4
F (0.014, 0.685, 0.888) x8